Structure and simulated powder diffraction line list of Ge2MoPb3O9 (a GGA+U-relaxed structure; Cu Kα X-rays).

Peak list (12 most intense, 15 to 90 degrees two-theta, low angle first)
- (1 0 1), 2θ = 22.42°, d = 3.966 Å, I = 34
- (0 1 2), 2θ = 31.75°, d = 2.818 Å, I = 100
- (1 1 0), 2θ = 32.07°, d = 2.791 Å, I = 99
- (0 2 1), 2θ = 39.48°, d = 2.282 Å, I = 23
- (2 0 2), 2θ = 45.75°, d = 1.983 Å, I = 56
- (1 0 4), 2θ = 56.36°, d = 1.633 Å, I = 18
- (1 2 2), 2θ = 56.96°, d = 1.617 Å, I = 39
- (3 0 0), 2θ = 57.17°, d = 1.611 Å, I = 20
- (0 2 4), 2θ = 66.33°, d = 1.409 Å, I = 16
- (2 2 0), 2θ = 67.07°, d = 1.395 Å, I = 17
- (2 1 4), 2θ = 75.59°, d = 1.258 Å, I = 16
- (3 1 2), 2θ = 76.12°, d = 1.251 Å, I = 18

Structural model:
Unit cell a=5.5818 b=5.5818 c=6.9380 alpha=90.00 beta=90.00 gamma=120.00
Positions (direct):
Ge (0.3333, 0.6667, 0.1694)
Ge (0.6667, 0.3333, 0.8306)
Mo (0.0000, 0.0000, 0.5000)
Pb (0.0000, 0.0000, 0.0000)
Pb (0.3333, 0.6667, 0.6915)
Pb (0.6667, 0.3333, 0.3085)
O (0.0000, 0.5000, 0.0000)
O (0.1704, 0.3408, 0.3199)
O (0.1704, 0.8296, 0.3199)
O (0.3408, 0.1704, 0.6801)
O (0.5000, 0.0000, 0.0000)
O (0.5000, 0.5000, 0.0000)
O (0.6592, 0.8296, 0.3199)
O (0.8296, 0.1704, 0.6801)
O (0.8296, 0.6592, 0.6801)